For Sr2TiMnO6, a cell relaxed with PBE+U gives the calculated XRD peak list in this record (Cu Kα, 1.54184 Å).

Largest 8 diffraction maxima, low angle first, 10° ≤ 2θ ≤ 90°:
Position (°2θ)  I_rel
32.37  100.0
39.92  17.7
46.42  40.1
57.73  37.3
67.75  22.8
77.10  16.0
81.63  5.2
86.11  7.5

Atomic structure:
```
Sr2TiMnO6
1.0
7.8238 0.0000 0.0000
0.0000 7.8238 0.0000
0.0000 0.0000 7.8238
Sr Ti Mn O
8 4 4 24
Direct
0.2465 0.2465 0.2465
0.2465 0.2465 0.7535
0.2465 0.7535 0.2465
0.2465 0.7535 0.7535
0.7535 0.2465 0.2465
0.7535 0.2465 0.7535
0.7535 0.7535 0.2465
0.7535 0.7535 0.7535
0.0000 0.5000 0.5000
0.5000 0.0000 0.5000
0.5000 0.5000 0.0000
0.5000 0.5000 0.5000
0.0000 0.0000 0.0000
0.0000 0.0000 0.5000
0.0000 0.5000 0.0000
0.5000 0.0000 0.0000
0.0000 0.0000 0.2511
0.0000 0.0000 0.7489
0.0000 0.2475 0.5000
0.0000 0.2511 0.0000
0.0000 0.5000 0.2475
0.0000 0.5000 0.7525
0.0000 0.7489 0.0000
0.0000 0.7525 0.5000
0.2475 0.0000 0.5000
0.2475 0.5000 0.0000
0.2494 0.5000 0.5000
0.2511 0.0000 0.0000
0.5000 0.0000 0.2475
0.5000 0.0000 0.7525
0.5000 0.2475 0.0000
0.5000 0.2494 0.5000
0.5000 0.5000 0.2494
0.5000 0.5000 0.7506
0.5000 0.7506 0.5000
0.5000 0.7525 0.0000
0.7489 0.0000 0.0000
0.7506 0.5000 0.5000
0.7525 0.0000 0.5000
0.7525 0.5000 0.0000
```